(1)
Theoretical powder diffraction line list of PuSb3Rh5 for λ = 1.5418 Å (Cu Kα), from a cell relaxed with GGA-PBE.

Cell and atoms:
Unit cell a=4.2015 b=13.6728 c=12.4607 alpha=90.00 beta=90.00 gamma=90.00
Space group Cmcm (No. 63)
Unique sites:
1 Pu 0.0000 0.2281 0.2500
2 Sb 0.0000 0.0833 0.7500
3 Sb 0.0000 0.3819 0.5668
4 Rh 0.0000 0.0000 0.0000
5 Rh 0.0000 0.1957 0.5679
6 Rh 0.0000 0.4336 0.1317

The 10 most intense peaks (2θ = 10–80°), sorted by position:
Position (°2θ), I/Imax
27.0, 25.6
29.8, 30.8
31.0, 100.0
36.2, 44.2
36.5, 58.4
39.3, 54.0
43.1, 59.3
45.4, 34.1
46.8, 49.0
64.4, 23.9

(2)
Theoretical powder diffraction line list of PuSbRh3 for λ = 1.5418 Å (Cu Kα), from a cell relaxed with GGA-PBE.

Cell and atoms:
Unit cell a=5.5348 b=7.5834 c=8.9475 alpha=90.00 beta=90.00 gamma=90.00
Space group Imma (No. 74)
Unique sites:
1 Pu 0.0000 0.2500 0.0061
2 Sb 0.0000 0.0000 0.5000
3 Rh 0.0000 0.2500 0.7028
4 Rh 0.2500 0.0597 0.2500

The 10 most intense peaks (2θ = 10–80°), sorted by position:
Position (°2θ), I/Imax
30.3, 100.0
36.0, 17.5
37.0, 22.6
38.2, 58.7
40.3, 71.2
41.8, 75.9
48.0, 15.3
56.4, 17.8
58.4, 15.6
64.2, 21.5

(3)
Theoretical powder diffraction line list of PuSc5Rh6 for λ = 1.5418 Å (Cu Kα), from a cell relaxed with GGA-PBE.

Cell and atoms:
Unit cell a=4.5532 b=13.6952 c=6.7120 alpha=90.00 beta=90.00 gamma=90.00
Space group Cmmm (No. 65)
Unique sites:
1 Pu 0.0000 0.0000 0.0000
2 Sc 0.0000 0.0000 0.5000
3 Sc 0.0000 0.3304 0.0000
4 Sc 0.0000 0.3322 0.5000
5 Rh 0.0000 0.1686 0.2554
6 Rh 0.0000 0.5000 0.2599

The 10 most intense peaks (2θ = 10–80°), sorted by position:
Position (°2θ), I/Imax
12.9, 8.5
24.5, 10.3
38.7, 100.0
39.5, 23.7
39.6, 23.6
54.7, 8.8
57.1, 15.7
69.6, 16.8
71.1, 16.3
71.3, 15.9

(4)
Theoretical powder diffraction line list of PuRh4Se8 for λ = 1.5418 Å (Cu Kα), from a cell relaxed with GGA-PBE.

Cell and atoms:
Unit cell a=7.6136 b=7.6136 c=17.3463 alpha=90.00 beta=90.00 gamma=120.00
Space group R-3m (No. 166, hexagonal axes)
Unique sites:
1 Pu 0.0000 0.0000 0.0000
2 Rh 0.0000 0.0000 0.5000
3 Rh 0.0000 0.5000 0.5000
4 Se 0.0000 0.0000 0.2410
5 Se 0.0046 0.5023 0.2374

The 10 most intense peaks (2θ = 10–80°), sorted by position:
Position (°2θ), I/Imax
14.4, 23.5
15.3, 17.4
16.9, 18.6
23.4, 8.8
28.1, 12.3
34.2, 100.0
47.8, 40.1
50.4, 28.9
60.0, 19.3
72.0, 9.9

(5)
Theoretical powder diffraction line list of Pu3Si2Rh for λ = 1.5418 Å (Cu Kα), from a cell relaxed with GGA-PBE.

Cell and atoms:
Unit cell a=5.9155 b=14.8268 c=5.6990 alpha=90.00 beta=90.00 gamma=90.00
Space group Ibam (No. 72)
Unique sites:
1 Pu 0.0000 0.0000 0.2500
2 Pu 0.2204 0.1794 0.0000
3 Si 0.1925 0.3813 0.0000
4 Rh 0.0000 0.5000 0.2500

The 10 most intense peaks (2θ = 10–80°), sorted by position:
Position (°2θ), I/Imax
16.1, 13.9
24.8, 44.6
32.6, 100.0
33.7, 45.8
36.4, 25.9
39.0, 17.2
39.9, 17.5
44.1, 37.0
58.5, 25.1
59.5, 12.0

(6)
Theoretical powder diffraction line list of PuSi3Rh5 for λ = 1.5418 Å (Cu Kα), from a cell relaxed with GGA-PBE.

Cell and atoms:
Unit cell a=3.9114 b=12.3828 c=12.1513 alpha=90.00 beta=90.00 gamma=90.00
Space group Cmcm (No. 63)
Unique sites:
1 Pu 0.0000 0.1591 0.2500
2 Si 0.0000 0.1147 0.7500
3 Si 0.0000 0.3837 0.5422
4 Rh 0.0000 0.0000 0.0000
5 Rh 0.0000 0.2023 0.5728
6 Rh 0.0000 0.4485 0.1440

The 10 most intense peaks (2θ = 10–80°), sorted by position:
Position (°2θ), I/Imax
26.3, 59.7
29.8, 28.9
31.5, 60.1
32.4, 53.5
32.6, 100.0
34.9, 56.8
38.2, 72.2
43.2, 28.1
46.4, 48.4
55.8, 28.4

(7)
Theoretical powder diffraction line list of PuSiRh4 for λ = 1.5418 Å (Cu Kα), from a cell relaxed with GGA-PBE.

Cell and atoms:
Unit cell a=7.4113 b=3.8449 c=6.7682 alpha=90.00 beta=90.00 gamma=90.00
Space group Pmma (No. 51)
Unique sites:
1 Pu 0.2500 0.0000 0.1343
2 Si 0.2500 0.0000 0.7145
3 Rh 0.0000 0.0000 0.5000
4 Rh 0.0577 0.5000 0.8048
5 Rh 0.2500 0.5000 0.4356

The 10 most intense peaks (2θ = 10–80°), sorted by position:
Position (°2θ), I/Imax
17.7, 22.3
29.3, 32.3
36.2, 100.0
37.4, 75.5
38.8, 33.4
40.0, 28.7
41.9, 17.5
43.2, 46.1
47.3, 33.4
62.8, 16.4

(8)
Theoretical powder diffraction line list of PuSi4Rh4 for λ = 1.5418 Å (Cu Kα), from a cell relaxed with GGA-PBE.

Cell and atoms:
Unit cell a=8.6268 b=8.6268 c=4.1208 alpha=90.00 beta=90.00 gamma=90.00
Space group I4/m (No. 87)
Unique sites:
1 Pu 0.0000 0.0000 0.0000
2 Si 0.1612 0.2735 0.5000
3 Rh 0.0923 0.6442 0.5000

The 10 most intense peaks (2θ = 10–80°), sorted by position:
Position (°2θ), I/Imax
20.6, 14.3
23.9, 16.1
31.8, 100.0
32.8, 54.7
43.7, 29.4
43.9, 18.3
48.8, 17.3
54.2, 13.1
55.9, 24.1
57.9, 27.5

(9)
Theoretical powder diffraction line list of PuSn3Rh7 for λ = 1.5418 Å (Cu Kα), from a cell relaxed with GGA-PBE.

Cell and atoms:
Unit cell a=8.6925 b=9.4950 c=5.3188 alpha=90.00 beta=114.61 gamma=90.00
Space group C2/m (No. 12)
Unique sites:
1 Pu 0.0000 0.0000 0.0000
2 Sn 0.0000 0.2758 0.5000
3 Sn 0.0000 0.5000 0.0000
4 Rh 0.0000 0.0000 0.5000
5 Rh 0.1777 0.2650 0.1798
6 Rh 0.2009 0.5000 0.5539

The 10 most intense peaks (2θ = 10–80°), sorted by position:
Position (°2θ), I/Imax
22.4, 17.2
29.3, 29.0
29.4, 16.7
34.5, 63.9
37.2, 16.5
37.9, 68.6
39.8, 100.0
41.9, 28.2
45.9, 51.3
52.2, 34.0

(10)
Theoretical powder diffraction line list of Pu4Sn8Rh for λ = 1.5418 Å (Cu Kα), from a cell relaxed with GGA-PBE.

Cell and atoms:
Unit cell a=4.6771 b=4.5656 c=15.5349 alpha=90.00 beta=98.64 gamma=90.00
Space group Pm (No. 6)
Unique sites:
1 Pu 0.0000 0.0000 0.0000
2 Pu 0.0876 0.5000 0.1752
3 Pu 0.2329 0.5000 0.4667
4 Pu 0.3225 0.0000 0.6467
5 Sn 0.1603 0.0000 0.3212
6 Sn 0.3966 0.5000 0.7962
7 Sn 0.5036 0.5000 0.0068
8 Sn 0.5805 0.0000 0.1611
9 Sn 0.6597 0.5000 0.3199
10 Sn 0.7414 0.0000 0.4839
11 Sn 0.8123 0.5000 0.6262
12 Sn 0.8935 0.0000 0.7893
13 Rh 0.4423 0.0000 0.8866

The 10 most intense peaks (2θ = 10–80°), sorted by position:
Position (°2θ), I/Imax
28.7, 11.3
31.0, 26.4
34.2, 100.0
35.1, 16.4
38.5, 25.2
39.5, 23.5
56.3, 17.1
64.3, 15.4
66.9, 15.0
68.2, 14.2

(11)
Theoretical powder diffraction line list of Pu8SnRh6 for λ = 1.5418 Å (Cu Kα), from a cell relaxed with GGA-PBE.

Cell and atoms:
Unit cell a=5.8823 b=5.8823 c=29.2831 alpha=90.00 beta=90.00 gamma=120.00
Space group R-3 (No. 148, hexagonal axes)
Unique sites:
1 Pu 0.0000 0.0000 0.1964
2 Pu 0.9995 0.3313 0.3102
3 Sn 0.0000 0.0000 0.5000
4 Rh 0.0198 0.4778 0.7662

The 10 most intense peaks (2θ = 10–80°), sorted by position:
Position (°2θ), I/Imax
18.2, 23.2
31.8, 100.0
35.6, 59.5
35.8, 18.4
41.4, 68.0
48.5, 26.8
54.0, 30.5
56.6, 33.5
57.5, 26.8
64.0, 21.0

(12)
Theoretical powder diffraction line list of PuSnRh3 for λ = 1.5418 Å (Cu Kα), from a cell relaxed with GGA-PBE.

Cell and atoms:
Unit cell a=9.2046 b=8.1788 c=4.8966 alpha=90.00 beta=90.00 gamma=90.00
Space group Pnma (No. 62)
Unique sites:
1 Pu 0.0596 0.2500 0.0097
2 Sn 0.0000 0.0000 0.5000
3 Rh 0.1700 0.7500 0.3278
4 Rh 0.2202 0.5785 0.8401

The 10 most intense peaks (2θ = 10–80°), sorted by position:
Position (°2θ), I/Imax
30.1, 100.0
36.3, 42.8
37.8, 19.7
39.1, 39.8
40.7, 38.3
41.1, 44.3
41.8, 37.6
42.7, 21.4
43.3, 20.5
62.0, 24.1